The following is a calculated XRD peak list of Zn3Co2Si4O14. It was derived from DFT lattice parameters and positions (PBE+U), using Cu Kα (λ = 1.5418 Å).
Kinematic intensities with the Lorentz-polarization factor, no thermal factor.

Most intense lines, 10° ≤ 2θ ≤ 80°, in order of rising 2θ:
| 2θ (°) | I_rel |
| --- | --- |
| 12.6 | 51 |
| 28.4 | 98 |
| 29.3 | 99 |
| 29.7 | 47 |
| 31.5 | 100 |
| 39.0 | 50 |

Structure:
a b c (Å): 9.2608 9.2608 9.8147
angles (deg): 120.22 120.22 48.37
Atoms (fractional coordinates):
Zn1 0.1121 0.8879 0.7500
Zn2 0.2362 0.4305 0.6102
Zn3 0.4305 0.2362 0.1102
Zn4 0.5695 0.7638 0.8898
Zn5 0.7638 0.5695 0.3898
Zn6 0.8879 0.1121 0.2500
Co1 0.2893 0.7107 0.2500
Co2 0.5000 0.5000 0.0000
Co3 0.5000 0.5000 0.5000
Co4 0.7107 0.2893 0.7500
Si1 0.0213 0.7405 0.8982
Si2 0.0413 0.5891 0.2922
Si3 0.2595 0.9787 0.6018
Si4 0.4109 0.9587 0.2078
Si5 0.5891 0.0413 0.7922
Si6 0.7405 0.0213 0.3982
Si7 0.9587 0.4109 0.7078
Si8 0.9787 0.2595 0.1018
O1 0.0120 0.5880 0.4423
O2 0.0158 0.5574 0.8772
O3 0.0498 0.8572 0.0925
O4 0.1236 0.1815 0.7264
O5 0.1428 0.9502 0.4075
O6 0.1815 0.1236 0.2264
O7 0.1980 0.6674 0.8287
O8 0.2630 0.5156 0.3042
O9 0.3326 0.8020 0.6713
O10 0.3895 0.4702 0.0882
O11 0.4120 0.9880 0.0577
O12 0.4426 0.9842 0.6228
O13 0.4702 0.3895 0.5882
O14 0.4844 0.7370 0.1958
O15 0.5156 0.2630 0.8042
O16 0.5298 0.6105 0.4118
O17 0.5574 0.0158 0.3772
O18 0.5880 0.0120 0.9423
O19 0.6105 0.5298 0.9118
O20 0.6674 0.1980 0.3287
O21 0.7370 0.4844 0.6958
O22 0.8020 0.3326 0.1713
O23 0.8185 0.8764 0.7736
O24 0.8572 0.0498 0.5925
O25 0.8764 0.8185 0.2736
O26 0.9502 0.1428 0.9075
O27 0.9842 0.4426 0.1228
O28 0.9880 0.4120 0.5577